CaW6NCl18: simulated powder X-ray diffraction pattern (Cu Ka), based on DFT lattice parameters and positions (GGA-PBE).
Neutral-atom scattering factors, no anomalous dispersion.

Structure:
Cell lengths 9.3261, 9.3261, 17.9845 Å; angles 90.00, 90.00, 120.00 degrees
Space group P6_3/m (No. 176)
Symmetry-distinct sites (fractional):
Ca  0.0000  0.0000  0.0000 [2 per cell]
W  0.1920  0.4858  0.1638 [12 per cell]
N  0.3333  0.6667  0.2500 [2 per cell]
Cl  0.0116  0.7702  0.5970 [12 per cell]
Cl  0.0404  0.5858  0.7500 [6 per cell]
Cl  0.0777  0.7831  0.2500 [6 per cell]
Cl  0.1112  0.6189  0.0714 [12 per cell]

Principal peaks in the range 2θ from 10° to 80°, by angle:
2θ/deg  I (rel.)
10.95  12
12.01  100
19.70  10
27.14  10
32.93  6
35.57  6
38.96  8
40.58  7
42.26  15
47.84  8

Zn2In: simulated powder X-ray diffraction pattern (Cu Ka), based on DFT lattice parameters and positions (GGA-PBE).
Neutral-atom scattering factors, no anomalous dispersion.

Structure:
Cell lengths 7.7190, 7.7190, 7.7190 Å; angles 90.00, 90.00, 90.00 degrees
Space group Fd-3m (No. 227, origin choice 2)
Symmetry-distinct sites (fractional):
Zn  0.0000  0.0000  0.0000 [16 per cell]
In  0.1250  0.1250  0.6250 [8 per cell]

Principal peaks in the range 2θ from 10° to 80°, by angle:
2θ/deg  I (rel.)
19.92  1
32.82  45
38.69  100
40.48  25
58.59  16
62.52  31
68.80  24
78.34  7

Ti2Re2Mo6W: simulated powder X-ray diffraction pattern (Cu Ka), based on DFT lattice parameters and positions (GGA-PBE).
Neutral-atom scattering factors, no anomalous dispersion.

Structure:
Cell lengths 5.1646, 5.1646, 27.4867 Å; angles 90.00, 90.00, 120.00 degrees
Space group R-3m (No. 166, hexagonal axes)
Symmetry-distinct sites (fractional):
Ti  0.0000  0.0000  0.1694 [6 per cell]
Re  0.0000  0.0000  0.4556 [6 per cell]
Mo  0.0009  0.5005  0.4116 [18 per cell]
W  0.0000  0.0000  0.0000 [3 per cell]

Principal peaks in the range 2θ from 10° to 80°, by angle:
2θ/deg  I (rel.)
20.89  93
23.74  100
34.74  43
40.08  53
40.47  55
40.88  67
41.39  84
43.70  57
46.75  56
66.81  41

MgMn: simulated powder X-ray diffraction pattern (Cu Ka), based on DFT lattice parameters and positions (GGA-PBE).
Neutral-atom scattering factors, no anomalous dispersion.

Structure:
Cell lengths 4.7088, 13.8001, 3.1077 Å; angles 90.00, 90.00, 90.00 degrees
Space group Cmmm (No. 65)
Symmetry-distinct sites (fractional):
Mg  0.0000  0.0000  0.0000 [2 per cell]
Mg  0.0000  0.1824  0.5000 [4 per cell]
Mn  0.0000  0.3603  0.0000 [4 per cell]
Mn  0.0000  0.5000  0.5000 [2 per cell]

Principal peaks in the range 2θ from 10° to 80°, by angle:
2θ/deg  I (rel.)
19.92  40
38.23  33
39.01  17
39.17  17
39.90  100
50.17  10
55.76  11
55.88  11
70.23  16
72.95  8

Sm2DyRu2: simulated powder X-ray diffraction pattern (Cu Ka), based on DFT lattice parameters and positions (GGA-PBE).
Neutral-atom scattering factors, no anomalous dispersion.

Structure:
Cell lengths 11.4201, 4.5292, 10.1486 Å; angles 90.00, 115.36, 90.00 degrees
Space group C2/m (No. 12)
Symmetry-distinct sites (fractional):
Sm  0.0188  0.0000  0.1964 [4 per cell]
Sm  0.1793  0.0000  0.5846 [4 per cell]
Dy  0.2130  0.5000  0.8650 [4 per cell]
Ru  0.0411  0.5000  0.4023 [4 per cell]
Ru  0.1193  0.5000  0.0978 [4 per cell]

Principal peaks in the range 2θ from 10° to 80°, by angle:
2θ/deg  I (rel.)
29.22  27
30.71  42
31.48  100
31.74  41
31.83  70
33.28  37
35.78  100
37.33  94
39.30  24
39.82  94

Li3Pd3Pb: simulated powder X-ray diffraction pattern (Cu Ka), based on DFT lattice parameters and positions (GGA-PBE).
Neutral-atom scattering factors, no anomalous dispersion.

Structure:
Cell lengths 7.4279, 7.4279, 4.6557 Å; angles 90.00, 90.00, 120.00 degrees
Space group P6_3/m (No. 176)
Symmetry-distinct sites (fractional):
Li  0.0850  0.4447  0.2500 [6 per cell]
Pd  0.0451  0.2410  0.7500 [6 per cell]
Pb  0.3333  0.6667  0.7500 [2 per cell]

Principal peaks in the range 2θ from 10° to 80°, by angle:
2θ/deg  I (rel.)
23.59  77
23.96  18
27.74  26
30.80  21
36.97  35
38.68  28
41.92  100
54.58  22
72.22  20
79.78  22

La2PmNd7Tl2: simulated powder X-ray diffraction pattern (Cu Ka), based on DFT lattice parameters and positions (GGA-PBE).
Neutral-atom scattering factors, no anomalous dispersion.

Structure:
Cell lengths 7.0415, 10.2632, 11.4416 Å; angles 90.00, 90.00, 90.00 degrees
Space group Cmmm (No. 65)
Symmetry-distinct sites (fractional):
La  0.0000  0.0000  0.1479 [4 per cell]
Pm  0.0000  0.5000  0.5000 [2 per cell]
Nd  0.0000  0.0000  0.5000 [2 per cell]
Nd  0.0000  0.3142  0.0000 [4 per cell]
Nd  0.2500  0.2500  0.3320 [8 per cell]
Tl  0.0000  0.5000  0.2247 [4 per cell]

Principal peaks in the range 2θ from 10° to 80°, by angle:
2θ/deg  I (rel.)
29.17  100
30.80  69
31.80  21
33.05  20
34.66  53
34.97  56
40.64  16
50.07  34
60.14  19
60.69  25

Na5Tl2Hg5: simulated powder X-ray diffraction pattern (Cu Ka), based on DFT lattice parameters and positions (GGA-PBE).
Neutral-atom scattering factors, no anomalous dispersion.

Structure:
Cell lengths 12.0443, 5.0627, 11.3847 Å; angles 90.00, 112.09, 90.00 degrees
Space group C2/m (No. 12)
Symmetry-distinct sites (fractional):
Na  0.0000  0.0000  0.0000 [2 per cell]
Na  0.1102  0.0000  0.7651 [4 per cell]
Na  0.1573  0.0000  0.4968 [4 per cell]
Tl  0.0860  0.5000  0.2416 [4 per cell]
Hg  0.0000  0.5000  0.5000 [2 per cell]
Hg  0.1722  0.5000  0.9658 [4 per cell]
Hg  0.2485  0.0000  0.2763 [4 per cell]

Principal peaks in the range 2θ from 10° to 80°, by angle:
2θ/deg  I (rel.)
19.25  68
24.32  55
32.87  84
33.46  100
33.99  35
35.46  44
41.56  25
42.03  31
43.47  25
49.94  24

Er3Pt: simulated powder X-ray diffraction pattern (Cu Ka), based on DFT lattice parameters and positions (GGA-PBE).
Neutral-atom scattering factors, no anomalous dispersion.

Structure:
Cell lengths 11.5096, 11.5096, 6.3006 Å; angles 90.00, 90.00, 90.00 degrees
Space group P4_2/n (No. 86, origin choice 2)
Symmetry-distinct sites (fractional):
Er  0.0383  0.5954  0.2084 [8 per cell]
Er  0.1144  0.1928  0.0256 [8 per cell]
Er  0.1178  0.6619  0.7023 [8 per cell]
Pt  0.0551  0.1837  0.5175 [8 per cell]

Principal peaks in the range 2θ from 10° to 80°, by angle:
2θ/deg  I (rel.)
30.43  59
31.08  18
31.42  47
33.02  21
34.86  77
35.16  37
36.05  40
37.77  100
39.94  23
58.58  32

BaLiSb2: simulated powder X-ray diffraction pattern (Cu Ka), based on DFT lattice parameters and positions (GGA-PBE).
Neutral-atom scattering factors, no anomalous dispersion.

Structure:
Cell lengths 3.5072, 4.6012, 7.3071 Å; angles 90.00, 90.13, 90.00 degrees
Space group P2/m (No. 10)
Symmetry-distinct sites (fractional):
Ba  0.0000  0.0000  0.0000 [1 per cell]
Li  0.0000  0.0000  0.5000 [1 per cell]
Sb  0.4977  0.5000  0.7076 [2 per cell]

Principal peaks in the range 2θ from 10° to 80°, by angle:
2θ/deg  I (rel.)
22.84  60
28.22  35
31.26  89
32.09  100
35.48  63
36.90  21
39.16  29
49.70  36
53.86  38
67.16  22

LaCSe: simulated powder X-ray diffraction pattern (Cu Ka), based on DFT lattice parameters and positions (GGA-PBE).
Neutral-atom scattering factors, no anomalous dispersion.

Structure:
Cell lengths 13.3298, 7.9304, 3.9893 Å; angles 90.00, 96.96, 90.00 degrees
Space group C2 (No. 5)
Symmetry-distinct sites (fractional):
La  0.1681  0.0000  0.4698 [4 per cell]
C  0.0312  0.9974  0.8928 [4 per cell]
Se  0.2480  0.2519  0.9990 [4 per cell]

Principal peaks in the range 2θ from 10° to 80°, by angle:
2θ/deg  I (rel.)
13.02  72
13.38  100
23.07  47
30.61  27
31.94  55
33.65  35
34.14  23
35.84  24
45.80  22
47.16  21